Starting from DFT lattice parameters and positions (GGA-PBE), the X-ray powder pattern of SrEr2O4 was simulated for Cu Ka.
No peak broadening, texture or thermal motion is included.

Structure:
Lattice parameters (Å, degrees): 10.091 3.396 11.915 90.00 90.00 90.00
Space group Pnma (No. 62)
One atom of each set of equivalent atoms:
Sr1 0.247 0.250 0.150 x4
Er1 0.076 0.250 0.388 x4
Er2 0.077 0.250 0.890 x4
O1 0.015 0.750 0.784 x4
O2 0.074 0.250 0.577 x4
O3 0.124 0.750 0.020 x4
O4 0.211 0.750 0.327 x4

Main lines, low angle first (2θ from 5° to 70°):
two_theta	intensity	h k l
17.58	17	2 0 0
30.00	49	0 0 4
30.52	100	3 0 2
31.59	89	1 1 2
31.76	42	2 1 0
44.25	42	2 1 4
44.75	25	4 1 0
53.59	17	3 0 6
54.28	19	1 1 6
54.82	24	4 1 4
55.14	18	5 1 2
63.30	26	3 2 2